Diffraction record for EuMn4Cu3O12. The X-ray powder pattern is computed, not measured: it uses a cell relaxed with GGA+U and a wavelength of 1.5418 Å.

Cell and atoms:
Unit cell a=7.449 b=7.449 c=7.449 alpha=90.00 beta=90.00 gamma=90.00
Space group Im-3 (No. 204)
Inequivalent atoms, fractional coordinates:
Eu1 0.000 0.000 0.000 (multiplicity 2)
Mn1 0.250 0.250 0.250 (multiplicity 8)
Cu1 0.000 0.000 0.500 (multiplicity 6)
O1 0.000 0.309 0.170 (multiplicity 24)

Main lines, by angle (2θ = 10–90°):
2θ/deg  Rel. int.  (hkl)
16.83  12  1 1 0
23.89  5  2 0 0
34.04  100  2 2 0
38.21  10  3 0 1
42.02  6  2 2 2
45.57  10  3 1 2
48.91  24  4 0 0
60.93  47  4 2 2
71.67  12  4 4 0
81.78  16  6 2 0